Diffraction record for Sb2Cl3F5. The powder diffractogram is calculated, not measured: it uses a structure optimized by DFT (GGA-PBE) and copper Kα.
No peak broadening, texture or thermal motion is included.

Largest 10 diffraction maxima, by angle, 15 to 90 degrees two-theta:
2theta	I_rel
21.01	952
22.45	900
25.81	1000
27.00	628
34.46	891
37.70	616
42.78	421
45.03	317
53.33	314
59.52	340

Cell and atoms:
Cell lengths 8.3257, 8.3257, 8.3257 Å; angles 123.19, 88.18, 118.97 degrees
Element x y z (fractional)
Sb (0.2223, 0.0016, 0.2239)
Sb (0.2777, 0.5016, 0.7794)
Sb (0.7223, 0.4984, 0.2206)
Sb (0.7777, 0.9984, 0.7761)
Cl (0.0961, 0.6633, 0.7594)
Cl (0.2500, 0.2500, 0.0000)
Cl (0.4039, 0.1633, 0.5671)
Cl (0.5961, 0.8367, 0.4329)
Cl (0.7500, 0.7500, 0.0000)
Cl (0.9039, 0.3367, 0.2406)
F (0.0061, 0.7500, 0.2561)
F (0.1744, 0.2972, 0.4717)
F (0.2500, 0.7500, 0.5000)
F (0.3256, 0.7972, 0.1228)
F (0.4939, 0.7500, 0.7439)
F (0.5061, 0.2500, 0.2561)
F (0.6744, 0.2028, 0.8772)
F (0.7500, 0.2500, 0.5000)
F (0.8256, 0.7028, 0.5283)
F (0.9939, 0.2500, 0.7439)